Entry 1:
For Li2MgSi, a GGA-PBE-relaxed structure gives the simulated XRD peak list in this record (Cu Ka).

Atomic structure:
```
Li2MgSi
1.0
6.3673 0.0000 0.0000
0.0000 6.3673 0.0000
0.0000 0.0000 6.3673
Li Mg Si
8 4 4
direct
0.0000 0.0000 0.0000 Li
0.0000 0.0000 0.5000 Li
0.0000 0.5000 0.0000 Li
0.2280 0.2280 0.2280 Li
0.2280 0.7720 0.7720 Li
0.5000 0.0000 0.0000 Li
0.7720 0.2280 0.7720 Li
0.7720 0.7720 0.2280 Li
0.0000 0.5000 0.5000 Mg
0.5000 0.0000 0.5000 Mg
0.5000 0.5000 0.0000 Mg
0.5000 0.5000 0.5000 Mg
0.2475 0.2475 0.7525 Si
0.2475 0.7525 0.2475 Si
0.7525 0.2475 0.2475 Si
0.7525 0.7525 0.7525 Si
```

Largest 10 diffraction maxima, most intense first, 2θ = 10–90°:
Position (°2θ)	intensity
40.1	100
24.2	45
72.8	32
47.4	20
57.9	16
13.9	15
31.4	13
86.5	10
63.7	8
78.0	6

Entry 2:
For SmFe2, a GGA-PBE-relaxed structure gives the simulated XRD peak list in this record (Cu Ka).

Atomic structure:
```
SmFe2
1.0
0.0000 3.6913 3.6913
3.6913 0.0000 3.6913
3.6913 3.6913 0.0000
Sm Fe
2 4
direct
0.1250 0.1250 0.1250 Sm
0.8750 0.8750 0.8750 Sm
0.0000 0.5000 0.5000 Fe
0.5000 0.0000 0.5000 Fe
0.5000 0.5000 0.0000 Fe
0.5000 0.5000 0.5000 Fe
```

Largest 10 diffraction maxima, most intense first, 2θ = 10–90°:
Position (°2θ)	intensity
40.5	100
34.4	65
65.7	31
61.5	24
72.4	22
42.4	15
20.8	14
86.4	11
82.7	11
87.7	5

Entry 3:
For MgTe4Mo2W2Se2S2, a GGA-PBE-relaxed structure gives the simulated XRD peak list in this record (Cu Ka).

Atomic structure:
```
MgTe4Mo2W2Se2S2
1.0
3.3912 0.0000 0.0000
1.6955 2.9370 0.0000
0.0006 -0.0001 38.6700
Mg Te Mo W Se S
1 4 2 2 2 2
direct
0.0000 0.0000 0.0000 Mg
0.5188 0.7014 0.1745 Te
0.5188 0.7014 0.2721 Te
0.5188 0.7014 0.5504 Te
0.5186 0.7014 0.6475 Te
0.5189 0.7013 0.4111 Mo
0.8520 0.0347 0.5990 Mo
0.5189 0.7013 0.7870 W
0.8521 0.0347 0.2233 W
0.8522 0.0346 0.7440 Se
0.8523 0.0346 0.8298 Se
0.8522 0.0346 0.3722 S
0.8522 0.0346 0.4500 S
```

Largest 10 diffraction maxima, most intense first, 2θ = 10–90°:
Position (°2θ)	intensity
11.4	100
35.8	94
43.3	49
30.4	45
54.1	29
38.5	21
66.6	15
32.6	15
76.3	14
45.1	12

Entry 4:
For Ti4ZnO8, a GGA-PBE-relaxed structure gives the simulated XRD peak list in this record (Cu Ka).

Atomic structure:
```
Ti4ZnO8
1.0
2.9808 1.7210 5.0527
-2.9808 1.7210 5.0527
0.0000 -3.4419 5.0527
Ti Zn O
4 1 8
direct
0.0000 0.0000 0.0000 Ti
0.0000 0.5000 0.5000 Ti
0.5000 0.0000 0.5000 Ti
0.5000 0.5000 0.0000 Ti
0.5000 0.5000 0.5000 Zn
0.2445 0.2445 0.7273 O
0.2445 0.7273 0.2445 O
0.2689 0.2689 0.2689 O
0.2727 0.7555 0.7555 O
0.7273 0.2445 0.2445 O
0.7311 0.7311 0.7311 O
0.7555 0.2727 0.7555 O
0.7555 0.7555 0.2727 O
```

Largest 10 diffraction maxima, most intense first, 2θ = 10–90°:
Position (°2θ)	intensity
42.4	100
17.6	61
18.2	39
62.3	27
60.6	26
20.8	23
36.8	18
35.3	14
78.2	12
34.9	11

Entry 5:
For NaEuTi2O6, a GGA-PBE-relaxed structure gives the simulated XRD peak list in this record (Cu Ka).

Atomic structure:
```
NaEuTi2O6
1.0
7.7459 0.0000 0.0000
0.0000 5.5052 0.0000
0.0000 0.0000 5.4378
Na Eu Ti O
2 2 4 12
direct
0.0000 0.2229 0.0000 Na
0.5000 0.7771 0.5000 Na
0.0000 0.7100 0.5099 Eu
0.5000 0.2900 0.0099 Eu
0.2488 0.2434 0.5080 Ti
0.2512 0.7566 0.0080 Ti
0.7488 0.7566 0.0080 Ti
0.7512 0.2434 0.5080 Ti
0.0000 0.2658 0.4461 O
0.0000 0.7649 0.0760 O
0.2124 0.9579 0.7113 O
0.2204 0.4665 0.7864 O
0.2796 0.5335 0.2864 O
0.2876 0.0421 0.2113 O
0.5000 0.2351 0.5760 O
0.5000 0.7342 0.9461 O
0.7124 0.0421 0.2113 O
0.7204 0.5335 0.2864 O
0.7796 0.4665 0.7864 O
0.7876 0.9579 0.7113 O
```

Largest 10 diffraction maxima, most intense first, 2θ = 10–90°:
Position (°2θ)	intensity
32.7	100
47.0	52
19.9	52
19.8	48
32.9	25
58.2	25
38.5	24
32.5	24
58.7	23
38.7	18